No. 1
Simulated powder diffractogram
Compound: Co7Ni8
Radiation: Cu Kα, 1.54184 Å
Structure: DFT lattice parameters and positions (GGA-PBE)
Kinematic intensities with the Lorentz-polarization factor, no thermal factor.

Cell and atoms:
```
data_Co7Ni8
_cell_length_a 8.5406
_cell_length_b 8.5406
_cell_length_c 4.5023
_cell_angle_alpha 90.00
_cell_angle_beta 90.00
_cell_angle_gamma 90.00
_space_group_name_H-M_alt 'P 42/m n m'
_space_group_IT_number 136
_space_group_name_Hall '-P 4n 2n'
loop_
_atom_site_label
_atom_site_fract_x
_atom_site_fract_y
_atom_site_fract_z
Co1 0.0000 0.0000 0.0000
Co2 0.0681 0.2625 0.0000
Co3 0.0969 0.0969 0.5000
Ni1 0.0377 0.3670 0.5000
Ni2 0.1800 0.8200 0.2511
```

Top 6 peaks for 10 to 90 degrees two-theta, in order of rising 2θ:
hkl 4 1 0, 43.7°, I = 96
hkl 3 3 0, 45.0°, I = 42
hkl 2 0 2, 45.6°, I = 37
hkl 2 1 2, 46.8°, I = 74
hkl 4 1 1, 48.4°, I = 100
hkl 3 3 1, 49.6°, I = 52

No. 2
Simulated powder diffractogram
Compound: Co5Ni
Radiation: Cu Kα, 1.54184 Å
Structure: DFT lattice parameters and positions (GGA-PBE)
Kinematic intensities with the Lorentz-polarization factor, no thermal factor.

Cell and atoms:
```
data_Co5Ni
_cell_length_a 4.5716
_cell_length_b 4.5716
_cell_length_c 15.0037
_cell_angle_alpha 90.00
_cell_angle_beta 90.00
_cell_angle_gamma 120.00
_space_group_name_H-M_alt 'P 63/m m c'
_space_group_IT_number 194
_space_group_name_Hall '-P 6c 2c'
loop_
_atom_site_label
_atom_site_fract_x
_atom_site_fract_y
_atom_site_fract_z
Co1 0.0000 0.0000 0.0893
Co2 0.0000 0.5000 0.0000
Co3 0.1611 0.3223 0.2500
Co4 0.3333 0.6667 0.6562
Ni1 0.3333 0.6667 0.1267
```

Top 6 peaks for 10 to 90 degrees two-theta, in order of rising 2θ:
hkl 1 1 0, 39.4°, I = 31
hkl 1 0 6, 42.8°, I = 59
hkl 1 1 4, 46.5°, I = 100
hkl 2 0 2, 47.5°, I = 68
hkl 2 0 3, 49.5°, I = 22
hkl 2 2 0, 84.8°, I = 24

No. 3
Simulated powder diffractogram
Compound: Co12Ni
Radiation: Cu Kα, 1.54184 Å
Structure: DFT lattice parameters and positions (GGA-PBE)
Kinematic intensities with the Lorentz-polarization factor, no thermal factor.

Cell and atoms:
```
data_Co12Ni
_cell_length_a 4.5550
_cell_length_b 4.5550
_cell_length_c 24.1945
_cell_angle_alpha 90.00
_cell_angle_beta 90.00
_cell_angle_gamma 120.00
_space_group_name_H-M_alt 'R -3 m'
_space_group_IT_number 166
_space_group_name_Hall '-R 3 2"'
loop_
_atom_site_label
_atom_site_fract_x
_atom_site_fract_y
_atom_site_fract_z
Co1 0.0000 0.0000 0.0468
Co2 0.0000 0.0000 0.1513
Co3 0.0000 0.0000 0.3348
Co4 0.0043 0.5022 0.9129
Ni1 0.0000 0.0000 0.5000
```

Top 6 peaks for 10 to 90 degrees two-theta, in order of rising 2θ:
hkl 1 1 0, 39.6°, I = 50
hkl 1 0 10, 43.9°, I = 43
hkl 1 1 6, 45.8°, I = 100
hkl 0 2 1, 46.2°, I = 46
hkl 0 1 11, 47.3°, I = 52
hkl 2 0 5, 49.9°, I = 49

No. 4
Simulated powder diffractogram
Compound: Co7Ni8
Radiation: Cu Kα, 1.54184 Å
Structure: DFT lattice parameters and positions (GGA-PBE)
Kinematic intensities with the Lorentz-polarization factor, no thermal factor.

Cell and atoms:
```
data_Co7Ni8
_cell_length_a 8.5521
_cell_length_b 8.5521
_cell_length_c 4.4881
_cell_angle_alpha 90.00
_cell_angle_beta 90.00
_cell_angle_gamma 90.00
_space_group_name_H-M_alt 'P 42/m n m'
_space_group_IT_number 136
_space_group_name_Hall '-P 4n 2n'
loop_
_atom_site_label
_atom_site_fract_x
_atom_site_fract_y
_atom_site_fract_z
Co1 0.0000 0.0000 0.0000
Co2 0.0970 0.0970 0.5000
Co3 0.1803 0.8197 0.2510
Ni1 0.0404 0.3668 0.5000
Ni2 0.0673 0.2638 0.0000
```

Top 6 peaks for 10 to 90 degrees two-theta, in order of rising 2θ:
hkl 4 1 0, 43.6°, I = 97
hkl 3 3 0, 45.0°, I = 39
hkl 2 0 2, 45.7°, I = 35
hkl 2 1 2, 46.9°, I = 72
hkl 4 1 1, 48.3°, I = 100
hkl 3 3 1, 49.6°, I = 55

No. 5
Simulated powder diffractogram
Compound: Co28Ni
Radiation: Cu Kα, 1.54184 Å
Structure: DFT lattice parameters and positions (GGA-PBE)
Kinematic intensities with the Lorentz-polarization factor, no thermal factor.

Cell and atoms:
```
data_Co28Ni
_cell_length_a 8.5692
_cell_length_b 8.5692
_cell_length_c 8.5692
_cell_angle_alpha 90.00
_cell_angle_beta 90.00
_cell_angle_gamma 90.00
_space_group_name_H-M_alt 'I -4 3 m'
_space_group_IT_number 217
_space_group_name_Hall 'I -4 2 3'
loop_
_atom_site_label
_atom_site_fract_x
_atom_site_fract_y
_atom_site_fract_z
Co1 0.0398 0.3580 0.6420
Co2 0.0908 0.0908 0.7185
Co3 0.1798 0.1798 0.1798
Ni1 0.0000 0.0000 0.0000
```

Top 6 peaks for 10 to 90 degrees two-theta, in order of rising 2θ:
hkl 4 1 1, 44.9°, I = 100
hkl 3 3 2, 49.9°, I = 26
hkl 4 2 2, 52.3°, I = 9
hkl 4 3 1, 54.6°, I = 14
hkl 5 5 0, 79.0°, I = 7
hkl 7 2 1, 82.8°, I = 22

No. 6
Simulated powder diffractogram
Compound: Co2Ni11
Radiation: Cu Kα, 1.54184 Å
Structure: DFT lattice parameters and positions (GGA-PBE)
Kinematic intensities with the Lorentz-polarization factor, no thermal factor.

Cell and atoms:
```
data_Co2Ni11
_cell_length_a 4.5786
_cell_length_b 4.5786
_cell_length_c 24.0336
_cell_angle_alpha 90.00
_cell_angle_beta 90.00
_cell_angle_gamma 120.00
_space_group_name_H-M_alt 'R -3 m'
_space_group_IT_number 166
_space_group_name_Hall '-R 3 2"'
loop_
_atom_site_label
_atom_site_fract_x
_atom_site_fract_y
_atom_site_fract_z
Co1 0.0000 0.0000 0.0463
Ni1 0.0000 0.0000 0.1515
Ni2 0.0000 0.0000 0.3340
Ni3 0.0000 0.0000 0.5000
Ni4 0.0033 0.5016 0.9126
```

Top 6 peaks for 10 to 90 degrees two-theta, in order of rising 2θ:
hkl 1 1 0, 39.4°, I = 47
hkl 1 0 10, 44.1°, I = 40
hkl 1 1 6, 45.6°, I = 100
hkl 0 2 1, 45.9°, I = 45
hkl 0 1 11, 47.5°, I = 50
hkl 2 0 5, 49.7°, I = 49

No. 7
Simulated powder diffractogram
Compound: Co7Ni5
Radiation: Cu Kα, 1.54184 Å
Structure: DFT lattice parameters and positions (GGA-PBE)
Kinematic intensities with the Lorentz-polarization factor, no thermal factor.

Cell and atoms:
```
data_Co7Ni5
_cell_length_a 4.5858
_cell_length_b 4.5858
_cell_length_c 14.9457
_cell_angle_alpha 90.00
_cell_angle_beta 90.00
_cell_angle_gamma 120.00
_space_group_name_H-M_alt 'P 63/m m c'
_space_group_IT_number 194
_space_group_name_Hall '-P 6c 2c'
loop_
_atom_site_label
_atom_site_fract_x
_atom_site_fract_y
_atom_site_fract_z
Co1 0.0000 0.5000 0.0000
Co2 0.3333 0.6667 0.1266
Co3 0.3333 0.6667 0.6516
Ni1 0.0000 0.0000 0.0897
Ni2 0.1620 0.3239 0.2500
```

Top 6 peaks for 10 to 90 degrees two-theta, in order of rising 2θ:
hkl 1 1 0, 39.3°, I = 28
hkl 1 0 6, 42.9°, I = 56
hkl 1 1 4, 46.5°, I = 100
hkl 2 0 2, 47.4°, I = 66
hkl 3 0 4, 76.3°, I = 20
hkl 2 2 0, 84.5°, I = 24

No. 8
Simulated powder diffractogram
Compound: Co5Ni7
Radiation: Cu Kα, 1.54184 Å
Structure: DFT lattice parameters and positions (GGA-PBE)
Kinematic intensities with the Lorentz-polarization factor, no thermal factor.

Cell and atoms:
```
data_Co5Ni7
_cell_length_a 4.5829
_cell_length_b 4.5829
_cell_length_c 14.9507
_cell_angle_alpha 90.00
_cell_angle_beta 90.00
_cell_angle_gamma 120.00
_space_group_name_H-M_alt 'P 63/m m c'
_space_group_IT_number 194
_space_group_name_Hall '-P 6c 2c'
loop_
_atom_site_label
_atom_site_fract_x
_atom_site_fract_y
_atom_site_fract_z
Co1 0.0000 0.0000 0.0857
Co2 0.0000 0.5000 0.0000
Ni1 0.1620 0.3239 0.2500
Ni2 0.3333 0.6667 0.1265
Ni3 0.3333 0.6667 0.6515
```

Top 6 peaks for 10 to 90 degrees two-theta, in order of rising 2θ:
hkl 1 1 0, 39.3°, I = 30
hkl 1 0 6, 42.9°, I = 56
hkl 1 1 4, 46.5°, I = 100
hkl 2 0 2, 47.4°, I = 68
hkl 3 0 4, 76.4°, I = 24
hkl 2 2 0, 84.6°, I = 24

No. 9
Simulated powder diffractogram
Compound: Co5Ni
Radiation: Cu Kα, 1.54184 Å
Structure: DFT lattice parameters and positions (GGA-PBE)
Kinematic intensities with the Lorentz-polarization factor, no thermal factor.

Cell and atoms:
```
data_Co5Ni
_cell_length_a 4.5961
_cell_length_b 4.5961
_cell_length_c 14.8658
_cell_angle_alpha 90.00
_cell_angle_beta 90.00
_cell_angle_gamma 120.00
_space_group_name_H-M_alt 'P 63/m m c'
_space_group_IT_number 194
_space_group_name_Hall '-P 6c 2c'
loop_
_atom_site_label
_atom_site_fract_x
_atom_site_fract_y
_atom_site_fract_z
Co1 0.0000 0.5000 0.0000
Co2 0.1604 0.3208 0.2500
Co3 0.3333 0.6667 0.1278
Co4 0.3333 0.6667 0.6560
Ni1 0.0000 0.0000 0.0904
```

Top 6 peaks for 10 to 90 degrees two-theta, in order of rising 2θ:
hkl 1 1 0, 39.2°, I = 31
hkl 1 0 6, 43.0°, I = 61
hkl 1 1 4, 46.5°, I = 100
hkl 2 0 2, 47.3°, I = 69
hkl 2 0 3, 49.3°, I = 21
hkl 2 2 0, 84.3°, I = 24

No. 10
Simulated powder diffractogram
Compound: Co7Ni5
Radiation: Cu Kα, 1.54184 Å
Structure: DFT lattice parameters and positions (GGA-PBE)
Kinematic intensities with the Lorentz-polarization factor, no thermal factor.

Cell and atoms:
```
data_Co7Ni5
_cell_length_a 4.5993
_cell_length_b 4.5993
_cell_length_c 14.8661
_cell_angle_alpha 90.00
_cell_angle_beta 90.00
_cell_angle_gamma 120.00
_space_group_name_H-M_alt 'P 63/m m c'
_space_group_IT_number 194
_space_group_name_Hall '-P 6c 2c'
loop_
_atom_site_label
_atom_site_fract_x
_atom_site_fract_y
_atom_site_fract_z
Co1 0.0000 0.0000 0.0875
Co2 0.0000 0.5000 0.0000
Co3 0.3333 0.6667 0.1266
Ni1 0.1622 0.3243 0.2500
Ni2 0.3333 0.6667 0.6519
```

Top 6 peaks for 10 to 90 degrees two-theta, in order of rising 2θ:
hkl 1 1 0, 39.2°, I = 29
hkl 1 0 6, 43.0°, I = 56
hkl 1 1 4, 46.4°, I = 100
hkl 2 0 2, 47.3°, I = 69
hkl 2 0 3, 49.3°, I = 20
hkl 2 2 0, 84.2°, I = 24